Entry 1:
Theoretical powder X-ray diffraction pattern
Compound: PaTcGe2Rh
Radiation: a wavelength of 1.5418 Å
Structure: a crystal structure in Alexandria, relaxed with GGA-PBE
No peak broadening, texture or thermal motion is included.

Structure:
Lattice parameters (Å, degrees): 4.2532 4.2532 9.9342 90.00 90.00 90.00
Space group I-4m2 (No. 119)
Unique sites:
Pa (0.0000, 0.0000, 0.0000)
Tc (0.0000, 0.5000, 0.2500)
Ge (0.0000, 0.0000, 0.3749)
Rh (0.0000, 0.5000, 0.7500)

Most intense lines, 10° ≤ 2θ ≤ 90°, by angle:
| 2θ (°) | intensity | (hkl) |
| --- | --- | --- |
| 22.74 | 21 | 1 0 1 |
| 34.32 | 62 | 1 0 3 |
| 34.87 | 100 | 1 1 2 |
| 42.51 | 53 | 2 0 0 |
| 50.71 | 21 | 1 0 5 |
| 55.73 | 31 | 2 1 3 |
| 61.68 | 17 | 2 2 0 |
| 64.22 | 17 | 1 1 6 |
| 68.26 | 17 | 2 1 5 |
| 72.86 | 24 | 3 1 2 |

***

Entry 2:
Theoretical powder X-ray diffraction pattern
Compound: CsBaAg2F8
Radiation: a wavelength of 1.5418 Å
Structure: a crystal structure in Alexandria, relaxed with GGA-PBE
No peak broadening, texture or thermal motion is included.

Structure:
Lattice parameters (Å, degrees): 6.4599 6.4599 10.5364 90.00 90.00 90.00
Space group I-4 (No. 82)
Unique sites:
Cs (0.0000, 0.0000, 0.0000)
Ba (0.0000, 0.5000, 0.7500)
Ag (0.0000, 0.0000, 0.5000)
Ag (0.0000, 0.5000, 0.2500)
F (0.0050, 0.6915, 0.5125)
F (0.1542, 0.7839, 0.2425)

Most intense lines, 10° ≤ 2θ ≤ 90°, by angle:
| 2θ (°) | intensity | (hkl) |
| --- | --- | --- |
| 25.81 | 100 | 1 1 2 |
| 27.62 | 42 | 2 0 0 |
| 34.04 | 25 | 0 0 4 |
| 39.45 | 17 | 2 2 0 |
| 44.38 | 23 | 2 0 4 |
| 47.75 | 50 | 1 3 2 |
| 53.07 | 14 | 2 2 4 |
| 56.11 | 12 | 1 1 6 |
| 70.75 | 15 | 1 3 6 |
| 74.99 | 11 | 4 2 4 |

***

Entry 3:
Theoretical powder X-ray diffraction pattern
Compound: BeNbSN2
Radiation: a wavelength of 1.5418 Å
Structure: a crystal structure in Alexandria, relaxed with GGA-PBE
No peak broadening, texture or thermal motion is included.

Structure:
Lattice parameters (Å, degrees): 3.5155 3.5155 4.3982 90.00 90.00 90.00
Space group P4/mmm (No. 123)
Unique sites:
Be (0.0000, 0.0000, 0.0000)
Nb (0.5000, 0.5000, 0.5000)
S (0.0000, 0.0000, 0.5000)
N (0.0000, 0.5000, 0.0000)

Most intense lines, 10° ≤ 2θ ≤ 90°, by angle:
| 2θ (°) | intensity | (hkl) |
| --- | --- | --- |
| 20.19 | 68 | 0 0 1 |
| 25.34 | 27 | 1 0 0 |
| 32.61 | 44 | 1 0 1 |
| 36.13 | 40 | 1 1 0 |
| 41.04 | 31 | 0 0 2 |
| 41.74 | 100 | 1 1 1 |
| 52.03 | 29 | 2 0 0 |
| 55.82 | 23 | 1 1 2 |
| 56.37 | 18 | 2 0 1 |
| 68.32 | 24 | 2 0 2 |

***

Entry 4:
Theoretical powder X-ray diffraction pattern
Compound: Ce2NdTl4
Radiation: a wavelength of 1.5418 Å
Structure: a crystal structure in Alexandria, relaxed with GGA-PBE
No peak broadening, texture or thermal motion is included.

Structure:
Lattice parameters (Å, degrees): 6.1198 6.3326 11.0298 90.00 105.04 90.00
Space group P2_1/m (No. 11)
Unique sites:
Ce (0.1214, 0.2500, 0.4225)
Ce (0.3745, 0.7500, 0.9861)
Nd (0.0025, 0.2500, 0.8143)
Tl (0.1695, 0.2500, 0.1222)
Tl (0.3136, 0.7500, 0.4583)
Tl (0.3998, 0.0049, 0.7181)

Most intense lines, 10° ≤ 2θ ≤ 90°, by angle:
| 2θ (°) | intensity | (hkl) |
| --- | --- | --- |
| 29.19 | 54 | 2 0 -1 |
| 32.10 | 87 | 1 2 0 |
| 32.62 | 100 | 1 0 3 |
| 32.91 | 93 | 0 2 2 |
| 33.12 | 91 | 1 0 -4 |
| 33.47 | 89 | 2 1 0 |
| 33.74 | 87 | 2 1 -2 |
| 34.19 | 45 | 1 2 1 |
| 34.40 | 70 | 1 2 -2 |
| 58.29 | 44 | 0 4 0 |

***

Question: Which formula does entry 3 have?
Answer: BeNbSN2

***

Question: Which formula does entry 4 have?
Answer: Ce2NdTl4